Diffraction record for Li8TiMn3P6O24. The XRD peak list is theoretical, not measured: it uses DFT lattice parameters and positions (PBE+U) and CuKα.
Peak positions follow from Bragg's law for the DFT cell and can differ from measured ones.

a b c (Å): 8.4377 8.4897 9.3468
angles (deg): 116.81 90.30 119.31
Space group P1 (No. 1)
One atom of each set of equivalent atoms:
Li (0.0000, 0.0000, 0.0000) x1
Li (0.0631, 0.5330, 0.4570) x1
Li (0.1363, 0.4017, 0.7396) x1
Li (0.4542, 0.2547, 0.4469) x1
Li (0.5349, 0.1420, 0.7303) x1
Li (0.5999, 0.6630, 0.1793) x1
Li (0.7422, 0.9701, 0.4987) x1
Li (0.8605, 0.7016, 0.6928) x1
Ti (0.4454, 0.6395, 0.5595) x1
Mn (0.1493, 0.0217, 0.6251) x1
Mn (0.6488, 0.0437, 0.1549) x1
Mn (0.9490, 0.6185, 0.0314) x1
P (0.0502, 0.1463, 0.3551) x1
P (0.2593, 0.8426, 0.8430) x1
P (0.3531, 0.8279, 0.3464) x1
P (0.5465, 0.5312, 0.8342) x1
P (0.7401, 0.5380, 0.3458) x1
P (0.8435, 0.1123, 0.8416) x1
O (0.0017, 0.0866, 0.4913) x1
O (0.0202, 0.9641, 0.1876) x1
O (0.0510, 0.7488, 0.8547) x1
O (0.1937, 0.7069, 0.1898) x1
O (0.2608, 0.6445, 0.6946) x1
O (0.2716, 0.3318, 0.4259) x1
O (0.3074, 0.9973, 0.7822) x1
O (0.3146, 0.6807, 0.4219) x1
O (0.3326, 0.3625, 0.7776) x1
O (0.3705, 0.0300, 0.4897) x1
O (0.3964, 0.9343, 0.0035) x1
O (0.5519, 0.8935, 0.3175) x1
O (0.5880, 0.5970, 0.6942) x1
O (0.6071, 0.7262, 0.0049) x1
O (0.6231, 0.6446, 0.4186) x1
O (0.6329, 0.3187, 0.3258) x1
O (0.6402, 0.9602, 0.7002) x1
O (0.6688, 0.4433, 0.8344) x1
O (0.7584, 0.5435, 0.1851) x1
O (0.8234, 0.1358, 0.0099) x1
O (0.9348, 0.6748, 0.4824) x1
O (0.9359, 0.2364, 0.3396) x1
O (0.9362, 0.3209, 0.8422) x1
O (0.9559, 0.0052, 0.7837) x1

Largest 10 diffraction maxima, by angle, 15 to 90 degrees two-theta:
2theta  intensity
19.11  100
23.53  27
23.67  59
23.85  73
28.23  23
28.53  24
28.70  19
30.59  40
30.75  27
30.86  59


Diffraction record for Li8TiMn3P6O24. The XRD peak list is theoretical, not measured: it uses DFT lattice parameters and positions (PBE+U) and CuKα.
Peak positions follow from Bragg's law for the DFT cell and can differ from measured ones.

a b c (Å): 8.4464 8.5153 9.2521
angles (deg): 90.63 116.97 119.23
Space group P1 (No. 1)
One atom of each set of equivalent atoms:
Li (0.0000, 0.0000, 0.0000) x1
Li (0.0507, 0.2905, 0.5157) x1
Li (0.2967, 0.1558, 0.3114) x1
Li (0.3533, 0.4178, 0.8295) x1
Li (0.4757, 0.9451, 0.5581) x1
Li (0.6048, 0.8855, 0.2671) x1
Li (0.7370, 0.5681, 0.5624) x1
Li (0.8579, 0.4845, 0.2760) x1
Ti (0.9682, 0.3747, 0.8604) x1
Mn (0.3621, 0.5737, 0.4485) x1
Mn (0.3811, 0.0700, 0.9741) x1
Mn (0.9777, 0.8670, 0.3787) x1
P (0.1640, 0.7618, 0.1652) x1
P (0.1670, 0.6698, 0.6656) x1
P (0.4684, 0.4698, 0.1730) x1
P (0.4720, 0.2717, 0.6702) x1
P (0.8744, 0.9832, 0.6576) x1
P (0.8823, 0.1761, 0.1603) x1
O (0.0149, 0.3618, 0.3065) x1
O (0.0700, 0.6033, 0.0048) x1
O (0.0729, 0.0374, 0.8274) x1
O (0.0917, 0.4674, 0.7006) x1
O (0.2237, 0.9526, 0.1261) x1
O (0.2567, 0.4106, 0.0001) x1
O (0.2630, 0.8148, 0.8256) x1
O (0.3266, 0.7136, 0.6099) x1
O (0.3373, 0.0840, 0.5235) x1
O (0.3715, 0.7878, 0.3117) x1
O (0.3737, 0.3907, 0.6134) x1
O (0.4218, 0.4209, 0.3171) x1
O (0.4791, 0.2460, 0.8343) x1
O (0.5515, 0.3539, 0.1462) x1
O (0.6302, 0.6825, 0.2195) x1
O (0.6600, 0.0595, 0.1345) x1
O (0.7018, 0.7723, 0.6044) x1
O (0.7052, 0.3791, 0.7003) x1
O (0.7941, 0.1083, 0.6846) x1
O (0.8744, 0.2260, 0.9941) x1
O (0.9195, 0.0288, 0.5112) x1
O (0.9613, 0.6458, 0.5132) x1
O (0.9899, 0.0641, 0.2028) x1
O (0.9967, 0.7039, 0.2142) x1

Largest 10 diffraction maxima, by angle, 15 to 90 degrees two-theta:
2theta  intensity
19.23  97
19.32  35
23.62  75
23.77  70
23.85  38
23.98  28
28.44  66
28.77  27
30.93  100
30.98  37